Entry 1:
Structure and calculated PXRD pattern of NaCePb3 (a DFT-relaxed cell (PBE, Alexandria); CuKα).

Cell: 7.3966 7.3966 6.5290 Å, 90.00 90.00 120.00°
Fractional positions:
Na 0.0000 0.0000 0.0000
Na 0.0000 0.0000 0.5000
Ce 0.3333 0.6667 0.2500
Ce 0.6667 0.3333 0.7500
Pb 0.1966 0.3932 0.7500
Pb 0.1966 0.8034 0.7500
Pb 0.3932 0.1966 0.2500
Pb 0.6068 0.8034 0.7500
Pb 0.8034 0.1966 0.2500
Pb 0.8034 0.6068 0.2500

Principal peaks in the range 2θ from 10° to 90°, by angle:
d_spacing, Position (°2θ), Rel. int.
3.265, 27.3, 37
3.203, 27.9, 20
2.875, 31.1, 100
2.286, 39.4, 22
2.029, 44.7, 19
1.800, 50.7, 26

---

Entry 2:
Structure and calculated PXRD pattern of SrIn2Si2Au7 (a DFT-relaxed cell (PBE, Alexandria); CuKα).

Cell: 4.9497 4.9497 11.1267 Å, 97.26 97.26 90.20°
Fractional positions:
Sr 0.0000 0.0000 0.0000
In 0.1149 0.1149 0.3680
In 0.8851 0.8851 0.6320
Si 0.2956 0.2956 0.7924
Si 0.7044 0.7044 0.2076
Au 0.1790 0.5885 0.2139
Au 0.3707 0.3707 0.5824
Au 0.4115 0.8210 0.7861
Au 0.5000 0.5000 0.0000
Au 0.5885 0.1790 0.2139
Au 0.6293 0.6293 0.4176
Au 0.8210 0.4115 0.7861

Principal peaks in the range 2θ from 10° to 90°, by angle:
d_spacing, Position (°2θ), Rel. int.
2.952, 30.3, 100
2.761, 32.4, 96
2.701, 33.2, 49
2.463, 36.5, 100
2.190, 41.2, 55
1.563, 59.1, 48

---

Entry 3:
Structure and calculated PXRD pattern of AcCu2AsP (a DFT-relaxed cell (PBE, Alexandria); CuKα).

Cell: 6.4757 6.4757 6.4757 Å, 143.51 143.51 52.56°
Fractional positions:
Ac 0.0000 0.0000 0.0000
Cu 0.2606 0.7606 0.5000
Cu 0.7606 0.2606 0.5000
As 0.6346 0.6346 0.0000
P 0.3660 0.3660 0.0000

Principal peaks in the range 2θ from 10° to 90°, by angle:
d_spacing, Position (°2θ), Rel. int.
3.828, 23.2, 50
2.800, 32.0, 98
2.571, 34.9, 100
2.027, 44.7, 44
2.015, 45.0, 30
1.642, 56.0, 41

---

Entry 4:
Structure and calculated PXRD pattern of Ac3CuTe6 (a DFT-relaxed cell (PBE, Alexandria); CuKα).

Cell: 9.9944 9.9944 8.0036 Å, 90.00 90.00 98.46°
Fractional positions:
Ac 0.0942 0.9058 0.5000
Ac 0.2095 0.4080 0.6272
Ac 0.4080 0.2095 0.1272
Ac 0.5920 0.7905 0.6272
Ac 0.7905 0.5920 0.1272
Ac 0.9058 0.0942 0.0000
Cu 0.2918 0.7082 0.2104
Cu 0.7082 0.2918 0.7104
Te 0.0730 0.5945 0.3469
Te 0.1133 0.2033 0.3107
Te 0.2033 0.1133 0.8107
Te 0.3365 0.6635 0.8910
Te 0.4055 0.9270 0.3469
Te 0.4734 0.5266 0.3380
Te 0.5266 0.4734 0.8380
Te 0.5945 0.0730 0.8469
Te 0.6635 0.3365 0.3910
Te 0.7967 0.8867 0.3107
Te 0.8867 0.7967 0.8107
Te 0.9270 0.4055 0.8469

Principal peaks in the range 2θ from 10° to 90°, by angle:
d_spacing, Position (°2θ), Rel. int.
4.205, 21.1, 100
4.057, 21.9, 50
3.047, 29.3, 72
2.891, 30.9, 83
2.750, 32.6, 35
2.485, 36.1, 40